Entry 1:
Cs2RbCu: simulated powder XRD pattern (Cu Kα (weighted mean of Kα1 and Kα2)), based on a PBE-relaxed structure.
Neutral-atom scattering factors, no anomalous dispersion.

Cell: 12.666 12.666 7.364 Å, 90.00 90.00 90.00°
Space group I-42d (No. 122)
Symmetry-distinct sites (fractional):
Cs 0.120 0.250 0.125 [8 per cell]
Rb 0.000 0.000 0.500 [4 per cell]
Cu 0.000 0.000 0.000 [4 per cell]

Most intense lines, 10° ≤ 2θ ≤ 80°, in order of rising 2θ:
index	2θ (°)	d (Å)	I (rel.)
1 0 1	13.92	6.364	25
2 1 1	19.78	4.488	100
3 1 0	22.19	4.005	41
1 1 2	26.17	3.406	43
4 0 0	28.15	3.170	35
4 2 0	31.59	2.833	47
3 1 2	33.05	2.711	20
4 0 2	37.49	2.399	29
3 3 2	38.83	2.319	17
5 2 1	40.22	2.242	19


Entry 2:
Cs2RbCu2: simulated powder XRD pattern (Cu Kα (weighted mean of Kα1 and Kα2)), based on a PBE-relaxed structure.
Neutral-atom scattering factors, no anomalous dispersion.

Cell: 5.758 5.758 14.480 Å, 90.00 90.00 90.00°
Space group I4/mmm (No. 139)
Symmetry-distinct sites (fractional):
Cs 0.000 0.500 0.250 [4 per cell]
Rb 0.000 0.000 0.000 [2 per cell]
Cu 0.000 0.000 0.416 [4 per cell]

Most intense lines, 10° ≤ 2θ ≤ 80°, in order of rising 2θ:
index	2θ (°)	d (Å)	I (rel.)
0 0 4	24.59	3.620	11
1 1 2	25.09	3.549	100
2 0 0	31.07	2.879	40
1 1 4	33.11	2.705	17
1 0 5	34.67	2.587	11
2 0 4	40.02	2.253	12
2 2 0	44.51	2.036	14
2 1 5	47.24	1.924	9
2 0 6	49.27	1.849	9
3 1 2	51.77	1.766	27


Entry 3:
CsCuS4: simulated powder XRD pattern (Cu Kα (weighted mean of Kα1 and Kα2)), based on a PBE-relaxed structure.
Neutral-atom scattering factors, no anomalous dispersion.

Cell: 5.282 9.104 13.989 Å, 90.00 90.00 90.00°
Space group P2_12_12_1 (No. 19)
Symmetry-distinct sites (fractional):
Cs 0.178 0.082 0.338 [4 per cell]
Cu 0.035 0.144 0.061 [4 per cell]
S 0.060 0.561 0.924 [4 per cell]
S 0.116 0.710 0.589 [4 per cell]
S 0.150 0.358 0.854 [4 per cell]
S 0.179 0.913 0.099 [4 per cell]

Most intense lines, 10° ≤ 2θ ≤ 80°, in order of rising 2θ:
index	2θ (°)	d (Å)	I (rel.)
1 1 0	19.44	4.567	73
0 2 1	20.50	4.332	81
0 0 4	25.47	3.497	46
1 2 0	25.84	3.448	42
1 2 1	26.63	3.348	41
0 1 4	27.32	3.264	100
1 0 4	30.66	2.916	42
1 1 4	32.23	2.778	34
1 2 3	32.29	2.772	70
2 1 1	35.99	2.496	51


Entry 4:
CsCuS5: simulated powder XRD pattern (Cu Kα (weighted mean of Kα1 and Kα2)), based on a PBE-relaxed structure.
Neutral-atom scattering factors, no anomalous dispersion.

Cell: 5.541 5.988 7.853 Å, 98.02 96.58 116.98°
Space group P1 (No. 1)
Symmetry-distinct sites (fractional):
Cs 0.000 0.000 0.000 [1 per cell]
Cu 0.516 0.051 0.530 [1 per cell]
S 0.149 0.512 0.775 [1 per cell]
S 0.244 0.645 0.513 [1 per cell]
S 0.636 0.184 0.288 [1 per cell]
S 0.738 0.381 0.767 [1 per cell]
S 0.864 0.576 0.390 [1 per cell]

Most intense lines, 10° ≤ 2θ ≤ 80°, in order of rising 2θ:
index	2θ (°)	d (Å)	I (rel.)
0 1 0	17.02	5.210	15
0 1 -1	18.40	4.823	23
1 0 -1	19.66	4.516	24
-1 1 1	21.57	4.120	100
0 0 2	23.36	3.808	15
1 0 1	23.69	3.755	35
0 1 -2	25.82	3.451	33
2 -1 0	32.53	2.752	28
-1 2 1	33.85	2.648	15
2 0 -2	39.97	2.256	25


Entry 5:
CsCu2SnS4: simulated powder XRD pattern (Cu Kα (weighted mean of Kα1 and Kα2)), based on a PBE-relaxed structure.
Neutral-atom scattering factors, no anomalous dispersion.

Cell: 6.437 6.437 9.522 Å, 90.00 90.00 90.00°
Space group I-42m (No. 121)
Symmetry-distinct sites (fractional):
Cs 0.000 0.000 0.000 [2 per cell]
Cu 0.000 0.500 0.250 [4 per cell]
Sn 0.000 0.000 0.500 [2 per cell]
S 0.200 0.200 0.673 [8 per cell]

Most intense lines, 10° ≤ 2θ ≤ 80°, in order of rising 2θ:
index	2θ (°)	d (Å)	I (rel.)
1 1 0	19.50	4.552	11
1 1 2	27.10	3.290	100
2 0 0	27.72	3.218	23
2 0 2	33.61	2.666	11
2 2 0	39.60	2.276	26
2 0 4	47.51	1.914	25
3 1 2	48.65	1.872	43
2 2 4	55.89	1.645	11
1 1 6	61.92	1.499	10
4 2 4	77.50	1.232	10


Entry 6:
CsCuTeS3: simulated powder XRD pattern (Cu Kα (weighted mean of Kα1 and Kα2)), based on a PBE-relaxed structure.
Neutral-atom scattering factors, no anomalous dispersion.

Cell: 9.342 9.342 9.342 Å, 90.00 90.00 90.00°
Space group P2_13 (No. 198)
Symmetry-distinct sites (fractional):
Cs 0.090 0.410 0.590 [4 per cell]
Cu 0.148 0.148 0.148 [4 per cell]
Te 0.071 0.929 0.429 [4 per cell]
S 0.023 0.639 0.185 [12 per cell]

Most intense lines, 10° ≤ 2θ ≤ 80°, in order of rising 2θ:
index	2θ (°)	d (Å)	I (rel.)
2 0 0	19.00	4.671	34
2 0 1	21.27	4.178	100
2 1 1	23.32	3.814	62
2 2 1	28.67	3.114	80
3 2 1	35.97	2.497	85
4 0 1	39.78	2.266	33
4 1 3	49.77	1.832	37
3 3 3	50.78	1.798	23
5 2 0	52.77	1.735	26
6 1 2	63.79	1.459	24


Entry 7:
CsCu6Te2S2: simulated powder XRD pattern (Cu Kα (weighted mean of Kα1 and Kα2)), based on a PBE-relaxed structure.
Neutral-atom scattering factors, no anomalous dispersion.

Cell: 24.248 4.047 5.004 Å, 90.00 100.75 90.00°
Space group C2/m (No. 12)
Symmetry-distinct sites (fractional):
Cs 0.000 0.000 0.000 [2 per cell]
Cu 0.123 0.000 0.616 [4 per cell]
Cu 0.160 0.500 0.385 [4 per cell]
Cu 0.236 0.000 0.656 [4 per cell]
Te 0.191 0.000 0.119 [4 per cell]
S 0.081 0.500 0.554 [4 per cell]

Most intense lines, 10° ≤ 2θ ≤ 80°, in order of rising 2θ:
index	2θ (°)	d (Å)	I (rel.)
1 1 0	22.28	3.990	43
4 0 1	25.55	3.486	100
6 0 -1	26.09	3.416	69
5 1 0	28.95	3.084	65
1 1 1	29.27	3.052	56
5 1 -1	32.35	2.768	50
9 1 -1	42.04	2.149	53
1 1 -2	42.59	2.123	83
0 2 0	44.79	2.023	64
11 1 -1	48.21	1.888	55


Entry 8:
CsTh2CuS5: simulated powder XRD pattern (Cu Kα (weighted mean of Kα1 and Kα2)), based on a PBE-relaxed structure.
Neutral-atom scattering factors, no anomalous dispersion.

Cell: 7.949 7.949 13.954 Å, 90.00 90.00 90.00°
Space group I4/mcm (No. 140)
Symmetry-distinct sites (fractional):
Cs 0.000 0.000 0.250 [4 per cell]
Th 0.167 0.333 0.000 [8 per cell]
Cu 0.000 0.500 0.250 [4 per cell]
S 0.000 0.000 0.000 [4 per cell]
S 0.139 0.361 0.376 [16 per cell]

Most intense lines, 10° ≤ 2θ ≤ 80°, in order of rising 2θ:
index	2θ (°)	d (Å)	I (rel.)
0 0 2	12.69	6.977	35
0 0 4	25.53	3.489	26
2 0 2	25.83	3.449	100
2 1 3	31.68	2.824	69
2 2 0	31.84	2.810	13
3 1 0	35.72	2.514	23
2 1 5	41.12	2.195	34
4 0 2	47.60	1.910	24
3 3 2	50.44	1.809	13
4 1 3	51.30	1.781	14


Entry 9:
CsU2CuS4: simulated powder XRD pattern (Cu Kα (weighted mean of Kα1 and Kα2)), based on a PBE-relaxed structure.
Neutral-atom scattering factors, no anomalous dispersion.

Cell: 3.984 14.109 13.854 Å, 90.00 90.00 90.00°
Space group Cmcm (No. 63)
Symmetry-distinct sites (fractional):
Cs 0.000 0.103 0.250 [4 per cell]
U 0.000 0.368 0.057 [8 per cell]
Cu 0.000 0.171 0.750 [4 per cell]
S 0.000 0.000 0.000 [4 per cell]
S 0.000 0.258 0.607 [8 per cell]
S 0.000 0.414 0.250 [4 per cell]

Most intense lines, 10° ≤ 2θ ≤ 80°, in order of rising 2θ:
index	2θ (°)	d (Å)	I (rel.)
0 2 3	23.02	3.864	100
0 4 0	25.25	3.527	55
1 1 2	26.57	3.355	73
1 3 1	30.10	2.969	51
1 3 2	32.16	2.784	86
0 2 5	34.78	2.579	32
1 1 5	40.15	2.246	37
1 5 3	43.94	2.061	42
1 3 5	44.23	2.048	34
2 2 3	51.62	1.771	37


Entry 10:
Cs2UCu2S6: simulated powder XRD pattern (Cu Kα (weighted mean of Kα1 and Kα2)), based on a PBE-relaxed structure.
Neutral-atom scattering factors, no anomalous dispersion.

Cell: 7.2570 7.2570 7.4834 Å, 90.00 90.00 120.00°
Space group P-3m1 (No. 164)
Symmetry-distinct sites (fractional):
Cs 0.3333 0.6667 0.2998 [2 per cell]
U 0.0000 0.0000 0.0000 [1 per cell]
Cu 0.3333 0.6667 0.8086 [2 per cell]
S 0.1610 0.3220 0.7922 [6 per cell]

Most intense lines, 10° ≤ 2θ ≤ 80°, in order of rising 2θ:
index	2θ (°)	d (Å)	I (rel.)
0 0 1	11.83	7.483	36
0 1 1	18.44	4.813	82
1 1 0	24.53	3.629	100
1 0 2	27.75	3.215	85
2 0 1	30.86	2.897	43
0 2 2	37.37	2.406	51
1 2 1	39.81	2.264	23
3 0 0	43.18	2.095	23
2 1 2	45.22	2.005	49
2 2 0	50.29	1.814	30


Entry 11:
Cs2Cu2Sb2Se5: simulated powder XRD pattern (Cu Kα (weighted mean of Kα1 and Kα2)), based on a PBE-relaxed structure.
Neutral-atom scattering factors, no anomalous dispersion.

Cell: 7.722 9.079 10.490 Å, 92.20 91.00 102.86°
Space group P-1 (No. 2)
Symmetry-distinct sites (fractional):
Cs 0.221 0.304 0.397 [2 per cell]
Cs 0.225 0.446 0.876 [2 per cell]
Cu 0.091 0.991 0.110 [2 per cell]
Cu 0.370 0.870 0.073 [2 per cell]
Sb 0.303 0.858 0.371 [2 per cell]
Sb 0.320 0.923 0.760 [2 per cell]
Se 0.014 0.113 0.686 [2 per cell]
Se 0.074 0.806 0.923 [2 per cell]
Se 0.261 0.693 0.583 [2 per cell]
Se 0.348 0.654 0.207 [2 per cell]
Se 0.417 0.151 0.112 [2 per cell]

Most intense lines, 10° ≤ 2θ ≤ 80°, in order of rising 2θ:
index	2θ (°)	d (Å)	I (rel.)
0 1 0	10.00	8.844	75
1 -2 0	20.91	4.248	43
2 -1 0	23.54	3.780	39
2 0 0	23.64	3.763	31
0 2 -2	25.80	3.454	28
0 2 2	26.96	3.307	100
2 -2 1	28.73	3.108	49
1 1 -3	30.21	2.958	33
1 1 3	31.49	2.841	32
2 1 -2	32.11	2.788	36


Entry 12:
CsCu2Sb2Te6: simulated powder XRD pattern (Cu Kα (weighted mean of Kα1 and Kα2)), based on a PBE-relaxed structure.
Neutral-atom scattering factors, no anomalous dispersion.

Cell: 7.768 7.814 8.341 Å, 64.14 77.56 71.82°
Space group P-1 (No. 2)
Symmetry-distinct sites (fractional):
Cs 0.000 0.000 0.000 [1 per cell]
Cu 0.409 0.355 0.611 [2 per cell]
Sb 0.358 0.421 0.260 [2 per cell]
Te 0.119 0.624 0.514 [2 per cell]
Te 0.356 0.877 0.519 [2 per cell]
Te 0.479 0.264 0.935 [2 per cell]

Most intense lines, 10° ≤ 2θ ≤ 80°, in order of rising 2θ:
index	2θ (°)	d (Å)	I (rel.)
0 0 1	11.84	7.474	54
1 0 0	12.04	7.349	100
0 0 2	23.81	3.737	56
1 -1 1	25.21	3.533	86
1 2 0	25.98	3.430	73
-1 1 2	27.80	3.209	49
2 2 0	31.06	2.879	78
1 3 2	35.20	2.550	53
-2 2 1	39.63	2.274	62
0 4 1	49.98	1.825	52